# Zn2Te2O5
Theoretical X-ray powder pattern, CuKα. Input: the GGA-PBE geometry in OQMD.
Peak positions follow from Bragg's law for the DFT cell and can differ from measured ones.

Atomic structure:
Lattice parameters (Å, degrees): 3.9898 3.9898 8.1235 90.00 90.00 90.00
Fractional coordinates of all 9 atoms:
1 Zn 0.0000 0.0000 0.0000
2 Zn 0.0000 0.0000 0.5000
3 Te 0.5000 0.5000 0.2394
4 Te 0.5000 0.5000 0.7606
5 O 0.0000 0.5000 0.1773
6 O 0.0000 0.5000 0.8227
7 O 0.5000 0.0000 0.1773
8 O 0.5000 0.0000 0.8227
9 O 0.5000 0.5000 0.0000

The 8 most intense peaks (2θ = 10–80°), in order of falling intensity:
2theta	I_rel
31.4	100
31.7	41
56.3	38
45.5	28
55.8	23
22.3	13
65.6	12
10.9	10